Starting from a DFT-relaxed cell (GGA-PBE, Alexandria), the powder diffraction line list of LaNd2Ho2Er was computed for CuKα.
No peak broadening, texture or thermal motion is included.

Crystal structure
```
12
Lattice="7.057 0.000 0.000 0.000 9.919 0.000 0.000 0.000 5.687" Properties=species:S:1:pos:R:3 pbc="T T T"
La 0.000 0.000 0.000
La 3.529 4.960 2.843
Nd 1.740 3.304 0.000
Nd 1.789 8.263 2.843
Nd 5.269 1.656 2.843
Nd 5.317 6.615 0.000
Ho 1.760 6.610 0.000
Ho 1.769 1.651 2.843
Ho 5.288 8.268 2.843
Ho 5.298 3.309 0.000
Er 0.000 4.960 2.843
Er 3.529 0.000 0.000
```

Most intense lines, 2θ = 10–80°, low angle first:
2θ/deg  d (Å)  Rel. int.
31.14  2.872  1000
31.29  2.858  745
31.46  2.843  367
44.66  2.029  124
44.83  2.022  245
55.56  1.654  204
55.65  1.652  130
55.87  1.646  273
61.82  1.501  319
79.71  1.203  103

=====

Starting from a DFT-relaxed cell (GGA-PBE, Alexandria), the powder diffraction line list of LaPm4HoEr2 was computed for CuKα.
No peak broadening, texture or thermal motion is included.

Crystal structure
```
8
Lattice="6.237 0.000 0.000 0.000 3.626 0.000 -2.107 0.000 11.769" Properties=species:S:1:pos:R:3 pbc="T T T"
La 0.000 0.000 0.000
Pm -0.016 0.000 8.794
Pm 1.030 1.813 3.003
Pm 3.100 1.813 8.765
Pm 4.146 0.000 2.975
Ho 3.118 1.813 0.000
Er -1.053 1.813 5.884
Er 2.065 0.000 5.884
```

Most intense lines, 2θ = 10–80°, low angle first:
2θ/deg  d (Å)  Rel. int.
30.27  2.953  1000
30.38  2.942  988
35.09  2.557  674
35.28  2.544  332
50.33  1.813  122
50.61  1.803  596
59.93  1.544  288
60.12  1.539  283
60.27  1.536  282
62.95  1.476  124

=====

Starting from a DFT-relaxed cell (GGA-PBE, Alexandria), the powder diffraction line list of LaPmHoEr was computed for CuKα.
No peak broadening, texture or thermal motion is included.

Crystal structure
```
4
Lattice="6.236 -2.952 0.000 6.236 2.952 0.000 -1.125 0.000 3.641" Properties=species:S:1:pos:R:3 pbc="T T T"
La 0.000 0.000 0.000
Pm 8.950 0.000 0.606
Ho 2.381 0.000 2.551
Er 5.595 0.000 1.668
```

Most intense lines, 2θ = 10–80°, low angle first:
2θ/deg  d (Å)  Rel. int.
30.00  2.979  572
30.27  2.952  584
31.60  2.831  995
31.85  2.810  1000
43.14  2.097  426
47.74  1.905  151
54.12  1.695  195
54.61  1.680  418
54.79  1.676  220
57.58  1.601  173

=====

Starting from a DFT-relaxed cell (GGA-PBE, Alexandria), the powder diffraction line list of La2Pr3Ho6Er was computed for CuKα.
No peak broadening, texture or thermal motion is included.

Crystal structure
```
12
Lattice="3.132 -5.424 0.000 3.132 5.424 0.000 -2.083 0.000 11.682" Properties=species:S:1:pos:R:3 pbc="T T T"
La 3.132 3.622 0.000
La 3.132 -3.622 0.000
Pr -1.041 0.000 5.841
Pr 2.091 1.810 5.841
Pr 2.091 -1.810 5.841
Ho 0.007 1.802 8.767
Ho 1.054 0.000 2.919
Ho 0.007 -1.802 8.767
Ho 4.175 1.802 2.915
Ho 3.128 0.000 8.763
Ho 4.175 -1.802 2.915
Er 3.132 0.000 0.000
```

Most intense lines, 2θ = 10–80°, low angle first:
2θ/deg  d (Å)  Rel. int.
30.31  2.949  1000
30.61  2.921  325
35.23  2.548  671
50.47  1.808  243
50.87  1.795  237
60.01  1.542  144
60.19  1.537  286
60.55  1.529  140
63.04  1.475  124
74.48  1.274  76

=====

Starting from a DFT-relaxed cell (GGA-PBE, Alexandria), the powder diffraction line list of LaPr6Ho3Er2 was computed for CuKα.
No peak broadening, texture or thermal motion is included.

Crystal structure
```
12
Lattice="3.159 -5.473 0.000 3.159 5.473 0.000 -2.107 0.000 11.767" Properties=species:S:1:pos:R:3 pbc="T T T"
La 0.000 0.000 0.000
Pr 1.057 1.831 2.968
Pr 0.005 0.000 8.799
Pr 1.057 -1.831 2.968
Pr 3.154 1.831 8.799
Pr 4.206 0.000 2.968
Pr 3.154 -1.831 8.799
Ho 2.106 3.644 5.883
Ho 2.106 0.000 5.883
Ho 2.106 -3.644 5.883
Er 3.159 1.823 0.000
Er 3.159 -1.823 0.000
```

Most intense lines, 2θ = 10–80°, low angle first:
2θ/deg  d (Å)  Rel. int.
30.04  2.974  1000
30.39  2.942  323
34.93  2.569  670
50.00  1.824  243
50.45  1.809  236
59.44  1.555  145
59.64  1.550  286
60.04  1.541  140
62.44  1.487  125
73.77  1.284  76

=====

Starting from a DFT-relaxed cell (GGA-PBE, Alexandria), the powder diffraction line list of La3Ho2Er6Pu was computed for CuKα.
No peak broadening, texture or thermal motion is included.

Crystal structure
```
12
Lattice="6.185 0.000 0.000 -3.093 5.356 0.000 0.000 0.000 11.416" Properties=species:S:1:pos:R:3 pbc="T T T"
La 0.000 0.000 0.000
La 0.000 3.571 0.000
La 3.093 1.785 0.000
Ho 0.000 3.571 5.708
Ho 3.093 1.785 5.708
Er -1.015 1.758 8.488
Er -2.077 3.598 2.929
Er 2.030 0.000 8.488
Er 1.015 1.758 2.929
Er 4.155 0.000 2.929
Er 2.077 3.598 8.488
Pu 0.000 0.000 5.708
```

Most intense lines, 2θ = 10–80°, low angle first:
2θ/deg  d (Å)  Rel. int.
29.93  2.985  449
31.34  2.854  336
32.94  2.719  1000
37.47  2.400  254
49.63  1.837  105
51.16  1.786  263
56.81  1.621  213
61.23  1.514  301
62.20  1.492  162
79.95  1.200  80